No. 1
Computed powder diffraction line list of TbZn3Au9 for Cu Kα (λ = 1.5418 Å), from a structure optimized by DFT (PBE).
Neutral-atom scattering factors, no anomalous dispersion.

Most intense lines, 10 to 90 degrees two-theta, by angle:
2theta	I (rel.)	index
32.39	43.8	1 3 1
33.39	64.0	2 0 -1
33.73	59.7	1 3 -2
37.42	61.3	1 1 2
38.05	100.0	1 5 0
38.23	100.0	0 4 2
38.45	33.2	1 5 -1
39.39	76.8	2 2 -2
41.92	44.1	2 0 1
43.26	53.8	2 4 -1

Structural model:
Cell lengths 5.378, 13.352, 7.016 Å; angles 90.00, 108.83, 90.00 degrees
Space group C2/m (No. 12)
One atom of each set of equivalent atoms:
1 Tb 0.000 0.000 0.000 x2
2 Zn 0.000 0.500 0.500 x2
3 Zn 0.250 0.250 0.000 x4
4 Au 0.000 0.000 0.500 x2
5 Au 0.081 0.392 0.211 x8
6 Au 0.141 0.176 0.329 x8

---

No. 2
Computed powder diffraction line list of Tb7Dy6 for Cu Kα (λ = 1.5418 Å), from a structure optimized by DFT (PBE).
Neutral-atom scattering factors, no anomalous dispersion.

Most intense lines, 10 to 90 degrees two-theta, by angle:
2theta	I (rel.)	index
27.32	48.7	1 1 0
30.24	45.5	1 0 10
31.48	100.0	1 1 6
31.75	49.5	0 2 1
32.53	64.2	0 1 11
34.25	57.6	2 0 5
36.60	25.6	0 2 7
50.96	26.2	0 3 6
51.68	35.9	1 2 11
56.36	42.9	2 2 0

Structural model:
Cell lengths 6.5293, 6.5293, 34.6648 Å; angles 90.00, 90.00, 120.00 degrees
Space group R-3m (No. 166, hexagonal axes)
One atom of each set of equivalent atoms:
1 Tb 0.0000 0.0000 0.0000 x3
2 Tb 0.0061 0.5030 0.4120 x18
3 Dy 0.0000 0.0000 0.1662 x6
4 Dy 0.0000 0.0000 0.3521 x6
5 Dy 0.0000 0.0000 0.4539 x6

---

No. 3
Computed powder diffraction line list of CeNdTl4 for Cu Kα (λ = 1.5418 Å), from a structure optimized by DFT (PBE).
Neutral-atom scattering factors, no anomalous dispersion.

Most intense lines, 10 to 90 degrees two-theta, by angle:
2theta	I (rel.)	index
32.09	100.0	0 3 1
32.33	98.0	1 3 0
33.38	45.6	1 0 -1
33.99	43.4	1 0 1
43.92	22.9	0 6 0
56.26	20.0	1 6 -1
56.67	19.6	1 6 1
58.69	18.2	1 3 -2
59.15	17.8	2 3 -1
59.48	17.5	1 3 2

Structural model:
Cell lengths 3.738, 12.369, 3.789 Å; angles 90.00, 91.01, 90.00 degrees
Space group P2/m (No. 10)
One atom of each set of equivalent atoms:
1 Ce 0.000 0.000 0.000 x1
2 Nd 0.500 0.500 0.500 x1
3 Tl 0.000 0.327 0.000 x2
4 Tl 0.500 0.173 0.500 x2

---

No. 4
Computed powder diffraction line list of NdY2Tm4 for Cu Kα (λ = 1.5418 Å), from a structure optimized by DFT (PBE).
Neutral-atom scattering factors, no anomalous dispersion.

Most intense lines, 10 to 90 degrees two-theta, by angle:
2theta	I (rel.)	index
30.32	27.7	3 1 -1
31.62	100.0	2 0 2
33.08	28.1	6 0 -1
33.26	34.5	1 1 -2
41.96	9.6	1 1 -3
46.65	9.5	5 1 1
48.55	14.6	7 1 -3
52.21	8.2	0 2 0
62.35	18.0	2 2 2
63.21	8.7	6 2 -1

Structural model:
Cell lengths 16.574, 3.504, 8.712 Å; angles 90.00, 119.47, 90.00 degrees
Space group C2/m (No. 12)
One atom of each set of equivalent atoms:
1 Nd 0.000 0.000 0.000 x2
2 Y 0.070 0.000 0.430 x4
3 Tm 0.144 0.500 0.836 x4
4 Tm 0.206 0.500 0.293 x4

---

No. 5
Computed powder diffraction line list of Li8Cd3Ag2 for Cu Kα (λ = 1.5418 Å), from a structure optimized by DFT (PBE).
Neutral-atom scattering factors, no anomalous dispersion.

Most intense lines, 10 to 90 degrees two-theta, by angle:
2theta	I (rel.)	index
20.38	64.7	1 1 -1
20.91	48.0	2 0 -1
25.95	43.2	2 2 0
27.09	100.0	0 2 1
28.60	37.1	3 1 0
36.67	47.2	2 2 1
37.78	39.1	0 4 0
38.23	25.2	1 1 -2
39.08	69.7	4 2 -1
40.45	20.2	3 1 1

Structural model:
Cell lengths 10.704, 9.525, 4.921 Å; angles 90.00, 112.21, 90.00 degrees
Space group C2/m (No. 12)
One atom of each set of equivalent atoms:
1 Li 0.070 0.000 0.271 x4
2 Li 0.151 0.500 0.597 x4
3 Li 0.169 0.256 0.157 x8
4 Cd 0.000 0.245 0.500 x4
5 Cd 0.000 0.500 0.000 x2
6 Ag 0.195 0.000 0.838 x4